The following is a simulated X-ray powder pattern of Li3Os2O6. It was derived from a crystal structure in OQMD, relaxed with PBE, using Cu Ka.
Lines closer than 0.1° are merged.

Principal peaks in the range 5° ≤ 2θ ≤ 70°, sorted by position:
d/Å, intensity
4.900, 100
4.227, 48
3.815, 37
2.583, 18
2.452, 21
2.414, 27
2.146, 19
2.032, 29
1.889, 18
1.476, 19

Cell and atoms:
```
data_Li3Os2O6
_chemical_formula_sum 'Li6 Os4 O12'
_symmetry_space_group_name_H-M 'C 1 2 1'
_symmetry_Int_Tables_number 5
_symmetry_space_group_name_Hall 'C 2y'
_cell_length_a 5.2344
_cell_length_b 8.3178
_cell_length_c 5.2257
_cell_angle_alpha 90.00
_cell_angle_beta 110.34
_cell_angle_gamma 90.00
loop_
_atom_site_label
_atom_site_type_symbol
_atom_site_fract_x
_atom_site_fract_y
_atom_site_fract_z
Li1 Li 0.0000 0.0000 0.0000
Li2 Li 0.0000 0.1688 0.5000
Li3 Li 0.0000 0.5101 0.5000
Os1 Os 0.0000 0.3590 0.0000
Os2 Os 0.0000 0.6539 0.0000
O1 O 0.2415 0.1773 0.2074
O2 O 0.2458 0.3292 0.7827
O3 O 0.2482 0.0067 0.7296
```

The following is a simulated X-ray powder pattern of Hf2Al2Cu2NiPt. It was derived from a crystal structure in OQMD, relaxed with PBE, using Cu Ka.
Lines closer than 0.1° are merged.

Principal peaks in the range 5° ≤ 2θ ≤ 70°, sorted by position:
d/Å, intensity
4.398, 7
3.598, 59
2.785, 7
2.206, 100
2.199, 50
1.885, 10
1.876, 20
1.564, 8
1.555, 17
1.431, 8

Cell and atoms:
```
data_Hf2Al2Cu2NiPt
_chemical_formula_sum 'Hf2 Al2 Cu2 Ni1 Pt1'
_symmetry_space_group_name_H-M 'P -4 m 2'
_symmetry_Int_Tables_number 115
_symmetry_space_group_name_Hall 'P -4 -2'
_cell_length_a 4.3982
_cell_length_b 4.3982
_cell_length_c 6.2574
_cell_angle_alpha 90.00
_cell_angle_beta 90.00
_cell_angle_gamma 90.00
loop_
_atom_site_label
_atom_site_type_symbol
_atom_site_fract_x
_atom_site_fract_y
_atom_site_fract_z
Hf1 Hf 0.0000 0.5000 0.2383
Al1 Al 0.0000 0.5000 0.7556
Cu1 Cu 0.0000 0.0000 0.0000
Cu2 Cu 0.5000 0.5000 0.5000
Ni1 Ni 0.5000 0.5000 0.0000
Pt1 Pt 0.0000 0.0000 0.5000
```

The following is a simulated X-ray powder pattern of Be3Co2Sn2. It was derived from a crystal structure in OQMD, relaxed with PBE, using Cu Ka.
Lines closer than 0.1° are merged.

Principal peaks in the range 5° ≤ 2θ ≤ 70°, sorted by position:
d/Å, intensity
3.875, 43
2.906, 91
2.861, 100
2.852, 70
2.694, 43
2.444, 34
2.039, 71
2.020, 68
1.921, 56
1.595, 53

Cell and atoms:
```
data_Be3Co2Sn2
_chemical_formula_sum 'Be6 Co4 Sn4'
_symmetry_space_group_name_H-M 'C m m m'
_symmetry_Int_Tables_number 65
_symmetry_space_group_name_Hall '-C 2 2'
_cell_length_a 2.8734
_cell_length_b 23.2480
_cell_length_c 2.8609
_cell_angle_alpha 90.00
_cell_angle_beta 90.00
_cell_angle_gamma 90.00
loop_
_atom_site_label
_atom_site_type_symbol
_atom_site_fract_x
_atom_site_fract_y
_atom_site_fract_z
Be1 Be 0.0000 0.0000 0.0000
Be2 Be 0.0000 0.0929 0.0000
Co1 Co 0.0000 0.4459 0.5000
Sn1 Sn 0.0000 0.3217 0.5000
```

The following is a simulated X-ray powder pattern of Tm3S4. It was derived from a crystal structure in OQMD, relaxed with PBE, using Cu Ka.
Lines closer than 0.1° are merged.

Principal peaks in the range 5° ≤ 2θ ≤ 70°, sorted by position:
d/Å, intensity
3.958, 26
3.376, 100
3.232, 15
2.799, 17
2.285, 12
2.155, 43
1.979, 55
1.707, 14
1.458, 24
1.400, 9

Cell and atoms:
a = 11.1960 Å, b = 11.1960 Å, c = 11.1960 Å
α = 90.00°, β = 90.00°, γ = 90.00°
Space group Fd-3m (No. 227, origin choice 2)
Inequivalent atoms, fractional coordinates:
Tm  0.0000  0.0000  0.0000 [16 per cell]
Tm  0.1250  0.1250  0.6250 [8 per cell]
S  0.0075  0.0075  0.2425 [32 per cell]

The following is a simulated X-ray powder pattern of KW8. It was derived from a crystal structure in OQMD, relaxed with PBE, using Cu Ka.
Lines closer than 0.1° are merged.

Principal peaks in the range 5° ≤ 2θ ≤ 70°, sorted by position:
d/Å, intensity
6.037, 24
5.310, 38
3.612, 19
2.914, 26
2.383, 38
2.254, 100
2.203, 24
2.012, 45
1.966, 14
1.406, 11

Cell and atoms:
```
data_KW8
_chemical_formula_sum 'K8 W64'
_symmetry_space_group_name_H-M 'F d d d'
_symmetry_Int_Tables_number 70
_cell_length_a 7.5411
_cell_length_b 7.8637
_cell_length_c 24.1475
_cell_angle_alpha 90.00
_cell_angle_beta 90.00
_cell_angle_gamma 90.00
loop_
_symmetry_equiv_pos_as_xyz
'x,y,z'
'-x,-y,-z'
'-x+1/4,-y+1/4,z'
'x+1/4,y+1/4,-z'
'x,-y+1/4,-z+1/4'
'-x,y+1/4,z+1/4'
'-x+1/4,y,-z+1/4'
'x+1/4,-y,z+1/4'
'x,y+1/2,z+1/2'
'-x,-y+1/2,-z+1/2'
'-x+1/4,-y+3/4,z+1/2'
'x+1/4,y+3/4,-z+1/2'
'x,-y+3/4,-z+3/4'
'-x,y+3/4,z+3/4'
'-x+1/4,y+1/2,-z+3/4'
'x+1/4,-y+1/2,z+3/4'
'x+1/2,y,z+1/2'
'-x+1/2,-y,-z+1/2'
'-x+3/4,-y+1/4,z+1/2'
'x+3/4,y+1/4,-z+1/2'
'x+1/2,-y+1/4,-z+3/4'
'-x+1/2,y+1/4,z+3/4'
'-x+3/4,y,-z+3/4'
'x+3/4,-y,z+3/4'
'x+1/2,y+1/2,z'
'-x+1/2,-y+1/2,-z'
'-x+3/4,-y+3/4,z'
'x+3/4,y+3/4,-z'
'x+1/2,-y+3/4,-z+1/4'
'-x+1/2,y+3/4,z+1/4'
'-x+3/4,y+1/2,-z+1/4'
'x+3/4,-y+1/2,z+1/4'
loop_
_atom_site_label
_atom_site_type_symbol
_atom_site_fract_x
_atom_site_fract_y
_atom_site_fract_z
K1 K 0.1250 0.1250 0.1250
W1 W 0.0020 0.0020 0.5812
W2 W 0.0563 0.2876 0.9972
```

The following is a simulated X-ray powder pattern of PrDySi2. It was derived from a crystal structure in OQMD, relaxed with PBE, using Cu Ka.
Lines closer than 0.1° are merged.

Principal peaks in the range 5° ≤ 2θ ≤ 70°, sorted by position:
d/Å, intensity
3.337, 31
3.242, 39
3.012, 100
2.815, 73
2.746, 81
2.535, 43
2.459, 47
2.245, 38
1.770, 34
1.590, 31

Cell and atoms:
```
data_PrDySi2
_chemical_formula_sum 'Pr2 Dy2 Si4'
_symmetry_space_group_name_H-M 'P m n 21'
_symmetry_Int_Tables_number 31
_symmetry_space_group_name_Hall 'P 2ac -2'
_cell_length_a 3.8999
_cell_length_b 8.1356
_cell_length_c 5.8343
_cell_angle_alpha 90.00
_cell_angle_beta 90.00
_cell_angle_gamma 90.00
loop_
_atom_site_label
_atom_site_type_symbol
_atom_site_fract_x
_atom_site_fract_y
_atom_site_fract_z
Pr1 Pr 0.0000 0.0719 0.0000
Dy1 Dy 0.0000 0.5691 0.7285
Si1 Si 0.0000 0.2237 0.4875
Si2 Si 0.0000 0.7037 0.2372
```

The following is a simulated X-ray powder pattern of NdGe2IrAu. It was derived from a crystal structure in OQMD, relaxed with PBE, using Cu Ka.
Lines closer than 0.1° are merged.

Principal peaks in the range 5° ≤ 2θ ≤ 70°, sorted by position:
d/Å, intensity
2.984, 40
2.688, 62
2.660, 100
2.207, 84
1.971, 35
1.848, 25
1.706, 32
1.560, 30
1.417, 18
1.346, 24

Cell and atoms:
```
data_NdGe2IrAu
_chemical_formula_sum 'Nd2 Ge4 Ir2 Au2'
_symmetry_space_group_name_H-M 'P 4/n m m'
_symmetry_Int_Tables_number 129
_cell_length_a 4.4142
_cell_length_b 4.4142
_cell_length_c 10.1682
_cell_angle_alpha 90.00
_cell_angle_beta 90.00
_cell_angle_gamma 90.00
loop_
_symmetry_equiv_pos_as_xyz
'x,y,z'
'-x,-y,-z'
'-y+1/2,x,z'
'y+1/2,-x,-z'
'-x+1/2,-y+1/2,z'
'x+1/2,y+1/2,-z'
'y,-x+1/2,z'
'-y,x+1/2,-z'
'x+1/2,-y,-z'
'-x+1/2,y,z'
'-y,-x,-z'
'y,x,z'
'-x,y+1/2,-z'
'x,-y+1/2,z'
'y+1/2,x+1/2,-z'
'-y+1/2,-x+1/2,z'
loop_
_atom_site_label
_atom_site_type_symbol
_atom_site_fract_x
_atom_site_fract_y
_atom_site_fract_z
Nd1 Nd 0.2500 0.2500 0.2408
Ge1 Ge 0.2500 0.2500 0.6485
Ge2 Ge 0.2500 0.7500 0.0000
Ir1 Ir 0.2500 0.2500 0.8847
Au1 Au 0.2500 0.7500 0.5000
```

The following is a simulated X-ray powder pattern of Pr2Y2Br3NCl2. It was derived from a crystal structure in OQMD, relaxed with PBE, using Cu Ka.
Lines closer than 0.1° are merged.

Principal peaks in the range 5° ≤ 2θ ≤ 70°, sorted by position:
d/Å, intensity
8.653, 61
8.175, 64
2.884, 44
2.826, 100
2.575, 20
2.566, 23
2.254, 27
2.025, 27
2.012, 26
1.911, 18

Cell and atoms:
```
data_Pr2Y2Br3NCl2
_chemical_formula_sum 'Pr4 Y4 Br6 N2 Cl4'
_symmetry_space_group_name_H-M 'C 1 2/m 1'
_symmetry_Int_Tables_number 12
_symmetry_space_group_name_Hall '-C 2y'
_cell_length_a 17.7715
_cell_length_b 3.8220
_cell_length_c 8.3952
_cell_angle_alpha 90.00
_cell_angle_beta 103.14
_cell_angle_gamma 90.00
loop_
_atom_site_label
_atom_site_type_symbol
_atom_site_fract_x
_atom_site_fract_y
_atom_site_fract_z
Pr1 Pr 0.0006 0.0000 0.2041
Y1 Y 0.1360 0.5000 0.0673
Br1 Br 0.0000 0.5000 0.5000
Br2 Br 0.1742 0.0000 0.8360
N1 N 0.0000 0.5000 0.0000
Cl1 Cl 0.1655 0.0000 0.3074
```

The following is a simulated X-ray powder pattern of Ba2ErO3F. It was derived from a crystal structure in OQMD, relaxed with PBE, using Cu Ka.
Lines closer than 0.1° are merged.

Principal peaks in the range 5° ≤ 2θ ≤ 70°, sorted by position:
d/Å, intensity
6.875, 22
3.124, 100
3.019, 69
2.312, 23
2.135, 34
1.825, 14
1.763, 39
1.568, 14
1.562, 12
1.350, 12

Cell and atoms:
```
data_Ba2ErO3F
_chemical_formula_sum 'Ba4 Er2 O6 F2'
_symmetry_space_group_name_H-M 'P 4/n m m'
_symmetry_Int_Tables_number 129
_cell_length_a 4.2698
_cell_length_b 4.2698
_cell_length_c 13.7500
_cell_angle_alpha 90.00
_cell_angle_beta 90.00
_cell_angle_gamma 90.00
loop_
_symmetry_equiv_pos_as_xyz
'x,y,z'
'-x,-y,-z'
'-y+1/2,x,z'
'y+1/2,-x,-z'
'-x+1/2,-y+1/2,z'
'x+1/2,y+1/2,-z'
'y,-x+1/2,z'
'-y,x+1/2,-z'
'x+1/2,-y,-z'
'-x+1/2,y,z'
'-y,-x,-z'
'y,x,z'
'-x,y+1/2,-z'
'x,-y+1/2,z'
'y+1/2,x+1/2,-z'
'-y+1/2,-x+1/2,z'
loop_
_atom_site_label
_atom_site_type_symbol
_atom_site_fract_x
_atom_site_fract_y
_atom_site_fract_z
Ba1 Ba 0.2500 0.2500 0.1024
Ba2 Ba 0.2500 0.2500 0.3821
Er1 Er 0.2500 0.2500 0.7615
O1 O 0.2500 0.2500 0.9179
O2 O 0.2500 0.7500 0.2639
F1 F 0.2500 0.2500 0.5752
```

The following is a simulated X-ray powder pattern of DyErCd6. It was derived from a crystal structure in OQMD, relaxed with PBE, using Cu Ka.
Lines closer than 0.1° are merged.

Principal peaks in the range 5° ≤ 2θ ≤ 70°, sorted by position:
d/Å, intensity
4.119, 2
3.572, 1
2.522, 100
2.153, 1
1.786, 12
1.779, 6
1.457, 23
1.454, 12

Cell and atoms:
```
data_DyErCd6
_chemical_formula_sum 'Dy1 Er1 Cd6'
_symmetry_space_group_name_H-M 'P m m 2'
_symmetry_Int_Tables_number 25
_symmetry_space_group_name_Hall 'P 2 -2'
_cell_length_a 5.0514
_cell_length_b 7.1143
_cell_length_c 5.0523
_cell_angle_alpha 90.00
_cell_angle_beta 90.00
_cell_angle_gamma 90.00
loop_
_atom_site_label
_atom_site_type_symbol
_atom_site_fract_x
_atom_site_fract_y
_atom_site_fract_z
Dy1 Dy 0.0000 0.0000 0.0000
Er1 Er 0.5000 0.5000 0.5091
Cd1 Cd 0.0000 0.2507 0.4995
Cd2 Cd 0.0000 0.5000 0.0003
Cd3 Cd 0.5000 0.0000 0.5086
Cd4 Cd 0.5000 0.2508 0.0095
```

The following is a simulated X-ray powder pattern of ZnGaCuHg. It was derived from a crystal structure in OQMD, relaxed with PBE, using Cu Ka.
Lines closer than 0.1° are merged.

Principal peaks in the range 5° ≤ 2θ ≤ 70°, sorted by position:
d/Å, intensity
3.773, 23
3.267, 11
2.310, 100
1.970, 13
1.886, 3
1.634, 17
1.499, 6
1.461, 5

Cell and atoms:
```
data_ZnGaCuHg
_chemical_formula_sum 'Zn4 Ga4 Cu4 Hg4'
_symmetry_space_group_name_H-M 'F -4 3 m'
_symmetry_Int_Tables_number 216
_symmetry_space_group_name_Hall 'F -4 2 3'
_cell_length_a 6.5349
_cell_length_b 6.5349
_cell_length_c 6.5349
_cell_angle_alpha 90.00
_cell_angle_beta 90.00
_cell_angle_gamma 90.00
loop_
_atom_site_label
_atom_site_type_symbol
_atom_site_fract_x
_atom_site_fract_y
_atom_site_fract_z
Zn1 Zn 0.0000 0.0000 0.0000
Ga1 Ga 0.0000 0.0000 0.5000
Cu1 Cu 0.2500 0.2500 0.7500
Hg1 Hg 0.2500 0.2500 0.2500
```